Diffraction record for Ba3Tl2Hg7. The X-ray powder pattern is theoretical, not measured: it uses a crystal structure in Alexandria, relaxed with PBE and λ = 1.5418 Å (Cu Kα).

Principal peaks in the range 2θ from 10° to 90°, by angle:
| 2θ/deg | I (rel.) | hkl |
| --- | --- | --- |
| 28.87 | 47 | 1 -1 0 |
| 29.03 | 75 | 1 1 3 |
| 29.42 | 55 | 1 1 -3 |
| 33.27 | 100 | 0 2 3 |
| 39.17 | 35 | 0 0 6 |
| 42.04 | 28 | 2 1 0 |

```
data_Ba3Tl2Hg7
_chemical_formula_sum 'Ba3 Tl2 Hg7'
_space_group_name_H-M_alt 'P -1'
_space_group_IT_number 2
_cell_length_a 4.2996
_cell_length_b 6.9701
_cell_length_c 13.8015
_cell_angle_alpha 89.83
_cell_angle_beta 89.21
_cell_angle_gamma 72.35
loop_
_space_group_symop_operation_xyz
'x,y,z'
'-x,-y,-z'
loop_
_atom_site_label
_atom_site_fract_x
_atom_site_fract_y
_atom_site_fract_z
Ba1 0.0000 0.0000 0.0000
Ba2 0.0544 0.9154 0.3433
Tl1 0.3480 0.2908 0.1896
Hg1 0.2400 0.5257 0.6544
Hg2 0.3338 0.2762 0.8389
Hg3 0.3638 0.2656 0.4678
Hg4 0.5000 0.5000 0.0000
```

Diffraction record for Na2CuCl3. The X-ray powder pattern is theoretical, not measured: it uses a crystal structure in Alexandria, relaxed with PBE and λ = 1.5418 Å (Cu Kα).

Principal peaks in the range 2θ from 10° to 90°, by angle:
| 2θ/deg | I (rel.) | hkl |
| --- | --- | --- |
| 13.75 | 29 | 0 2 0 |
| 16.68 | 44 | 0 1 1 |
| 25.77 | 94 | 0 3 1 |
| 26.26 | 96 | 1 0 1 |
| 43.34 | 100 | 2 0 0 |
| 50.30 | 25 | 1 6 1 |

```
data_Na2CuCl3
_chemical_formula_sum 'Na4 Cu2 Cl6'
_space_group_name_H-M_alt 'I m m 2'
_space_group_IT_number 44
_cell_length_a 4.1718
_cell_length_b 12.8794
_cell_length_c 5.8333
_cell_angle_alpha 90.00
_cell_angle_beta 90.00
_cell_angle_gamma 90.00
loop_
_space_group_symop_operation_xyz
'x,y,z'
'-x,-y,z'
'-x,y,z'
'x,-y,z'
'x+1/2,y+1/2,z+1/2'
'-x+1/2,-y+1/2,z+1/2'
'-x+1/2,y+1/2,z+1/2'
'x+1/2,-y+1/2,z+1/2'
loop_
_atom_site_label
_atom_site_fract_x
_atom_site_fract_y
_atom_site_fract_z
Na1 0.0000 0.1603 0.0000
Cu1 0.0000 0.5000 0.0081
Cl1 0.0000 0.0000 0.7027
Cl2 0.0000 0.3461 0.7862
```